1.
Simulated XRD peak list of Tl4SbAs3Se8 for a wavelength of 1.5418 Å, from a PBE-relaxed structure.

Cell: 3.8146 5.7622 20.3016 Å, 90.00 90.00 90.00°
Atoms (fractional coordinates):
Tl: 0.0000 0.0000 0.0000
Tl: 0.0000 0.0000 0.5000
Tl: 0.0000 0.5000 0.2457
Tl: 0.0000 0.5000 0.7543
Sb: 0.5000 0.5000 0.5000
As: 0.5000 0.0000 0.2485
As: 0.5000 0.0000 0.7515
As: 0.5000 0.5000 0.0000
Se: 0.0000 0.0000 0.1541
Se: 0.0000 0.0000 0.3456
Se: 0.0000 0.0000 0.6544
Se: 0.0000 0.0000 0.8459
Se: 0.0000 0.5000 0.0944
Se: 0.0000 0.5000 0.3952
Se: 0.0000 0.5000 0.6048
Se: 0.0000 0.5000 0.9056

Main lines, in order of rising 2θ (2θ from 5° to 70°):
- hkl 0 0 4, 17.47 deg, I = 27
- hkl 1 0 0, 23.32 deg, I = 39
- hkl 1 1 2, 29.43 deg, I = 64
- hkl 0 1 6, 30.64 deg, I = 32
- hkl 0 2 0, 31.04 deg, I = 52
- hkl 1 1 6, 38.86 deg, I = 100
- hkl 1 2 0, 39.18 deg, I = 20
- hkl 2 0 0, 47.72 deg, I = 31
- hkl 0 0 12, 54.22 deg, I = 19
- hkl 1 3 6, 60.51 deg, I = 27



2.
Simulated XRD peak list of USbAs for a wavelength of 1.5418 Å, from a PBE-relaxed structure.

Cell: 4.1376 4.1376 8.3790 Å, 90.00 90.00 90.00°
Atoms (fractional coordinates):
U: 0.2500 0.2500 0.1974
U: 0.7500 0.7500 0.8026
Sb: 0.2500 0.7500 0.5000
Sb: 0.7500 0.2500 0.5000
As: 0.2500 0.2500 0.8556
As: 0.7500 0.7500 0.1444

Main lines, in order of rising 2θ (2θ from 5° to 70°):
- hkl 1 0 1, 23.99 deg, I = 71
- hkl 1 1 0, 30.56 deg, I = 28
- hkl 0 0 3, 32.05 deg, I = 55
- hkl 1 1 1, 32.41 deg, I = 85
- hkl 1 1 2, 37.49 deg, I = 100
- hkl 1 0 3, 38.90 deg, I = 22
- hkl 2 0 0, 43.76 deg, I = 58
- hkl 2 1 1, 50.51 deg, I = 21
- hkl 2 0 3, 55.26 deg, I = 47
- hkl 1 1 5, 64.03 deg, I = 24



3.
Simulated XRD peak list of Zr5Sb3As for a wavelength of 1.5418 Å, from a PBE-relaxed structure.

Cell: 8.6811 8.6811 5.9453 Å, 90.00 90.00 120.00°
Atoms (fractional coordinates):
Zr: 0.0000 0.2637 0.2500
Zr: 0.0000 0.7363 0.7500
Zr: 0.2637 0.0000 0.2500
Zr: 0.2637 0.2637 0.7500
Zr: 0.3333 0.6667 0.0000
Zr: 0.3333 0.6667 0.5000
Zr: 0.6667 0.3333 0.0000
Zr: 0.6667 0.3333 0.5000
Zr: 0.7363 0.0000 0.7500
Zr: 0.7363 0.7363 0.2500
Sb: 0.0000 0.3947 0.7500
Sb: 0.0000 0.6053 0.2500
Sb: 0.3947 0.0000 0.7500
Sb: 0.3947 0.3947 0.2500
Sb: 0.6053 0.0000 0.2500
Sb: 0.6053 0.6053 0.7500
As: 0.0000 0.0000 0.0000
As: 0.0000 0.0000 0.5000

Main lines, in order of rising 2θ (2θ from 5° to 70°):
- hkl 0 0 2, 30.06 deg, I = 14
- hkl 2 1 1, 35.00 deg, I = 82
- hkl 3 0 0, 35.83 deg, I = 73
- hkl 1 1 2, 36.64 deg, I = 100
- hkl 3 1 1, 46.13 deg, I = 27
- hkl 2 2 2, 52.18 deg, I = 21
- hkl 2 1 3, 56.62 deg, I = 20
- hkl 0 0 4, 62.49 deg, I = 10
- hkl 4 1 2, 64.92 deg, I = 21
- hkl 4 2 1, 67.82 deg, I = 12